# 1
For NdMgCdGe, the PBE geometry in Alexandria gives the theoretical X-ray diffraction stick pattern in this record (Cu Kα, 1.54184 Å).
No peak broadening, texture or thermal motion is included.

Principal peaks in the range 15° ≤ 2θ ≤ 90°, by intensity:
| Position (°2θ) | d (Å) | intensity | hkl |
| --- | --- | --- | --- |
| 35.15 | 2.553 | 100 | 2 2 0 |
| 63.07 | 1.474 | 35 | 4 2 2 |
| 21.31 | 4.169 | 28 | 1 1 1 |
| 50.56 | 1.805 | 17 | 4 0 0 |
| 84.94 | 1.142 | 15 | 6 2 0 |
| 41.48 | 2.177 | 15 | 3 1 1 |
| 74.31 | 1.276 | 11 | 4 4 0 |
| 55.47 | 1.657 | 6 | 3 3 1 |

Structural model:
```
data_NdMgCdGe
_space_group_name_H-M_alt 'F -4 3 m'
_space_group_IT_number 216
_space_group_name_Hall 'F -4 2 3'
_cell_length_a 7.2209
_cell_length_b 7.2209
_cell_length_c 7.2209
_cell_angle_alpha 90.00
_cell_angle_beta 90.00
_cell_angle_gamma 90.00
loop_
_atom_site_label
_atom_site_type_symbol
_atom_site_fract_x
_atom_site_fract_y
_atom_site_fract_z
Nd1 Nd 0.0000 0.0000 0.0000
Mg1 Mg 0.0000 0.0000 0.5000
Cd1 Cd 0.2500 0.2500 0.7500
Ge1 Ge 0.2500 0.2500 0.2500
```

# 2
For MgCd2GePd2, the PBE geometry in Alexandria gives the theoretical X-ray diffraction stick pattern in this record (Cu Kα, 1.54184 Å).
No peak broadening, texture or thermal motion is included.

Principal peaks in the range 15° ≤ 2θ ≤ 90°, by intensity:
| Position (°2θ) | d (Å) | intensity | hkl |
| --- | --- | --- | --- |
| 37.79 | 2.381 | 100 | 1 1 2 |
| 38.99 | 2.310 | 71 | 0 1 3 |
| 35.29 | 2.543 | 69 | 1 2 1 |
| 41.94 | 2.154 | 38 | 1 3 1 |
| 39.92 | 2.259 | 36 | 1 3 0 |
| 53.89 | 1.701 | 28 | 2 0 0 |
| 32.92 | 2.720 | 27 | 1 2 0 |
| 42.79 | 2.113 | 26 | 0 2 3 |

Structural model:
```
data_MgCd2GePd2
_space_group_name_H-M_alt 'P m c 21'
_space_group_IT_number 26
_space_group_name_Hall 'P 2c -2'
_cell_length_a 3.4025
_cell_length_b 9.0594
_cell_length_c 7.1682
_cell_angle_alpha 90.00
_cell_angle_beta 90.00
_cell_angle_gamma 90.00
loop_
_atom_site_label
_atom_site_type_symbol
_atom_site_fract_x
_atom_site_fract_y
_atom_site_fract_z
Mg1 Mg 0.0000 0.1130 0.0000
Cd1 Cd 0.0000 0.3205 0.3527
Cd2 Cd 0.5000 0.4341 0.0473
Ge1 Ge 0.5000 0.1724 0.6481
Pd1 Pd 0.0000 0.3630 0.7503
Pd2 Pd 0.5000 0.0731 0.3090
```